This entry pairs a crystal structure of La3PmTh with its simulated powder X-ray diffraction pattern. Radiation: Cu Ka. Structure: a GGA-PBE-relaxed structure.

Crystal structure
a = 3.672 Å, b = 3.672 Å, c = 30.177 Å
α = 90.00°, β = 90.00°, γ = 120.00°
Positions (direct):
La (0.000, 0.000, 0.000)
La (0.000, 0.000, 0.500)
La (0.333, 0.667, 0.106)
La (0.333, 0.667, 0.797)
La (0.667, 0.333, 0.297)
La (0.667, 0.333, 0.606)
Pm (0.333, 0.667, 0.402)
Pm (0.667, 0.333, 0.902)
Th (0.000, 0.000, 0.202)
Th (0.000, 0.000, 0.702)

The 6 most intense peaks (10 to 90 degrees two-theta), sorted by position:
(hkl)	2θ/deg	I/Imax
1 0 3	29.46	72
0 0 10	29.60	67
1 0 4	30.51	100
1 0 6	33.34	84
1 1 0	49.66	50
1 1 10	58.87	68